The following is a computed powder diffractogram of DyNbAsO. It was derived from the GGA-PBE geometry in OQMD, using CuKα.
No peak broadening, texture or thermal motion is included.

Structural model:
a b c (Å): 3.958 3.958 9.015
angles (deg): 90.00 90.00 90.00
Element x y z (fractional)
Dy 0.250 0.250 0.121
Dy 0.750 0.750 0.879
Nb 0.250 0.750 0.500
Nb 0.750 0.250 0.500
As 0.250 0.250 0.700
As 0.750 0.750 0.300
O 0.250 0.750 0.000
O 0.750 0.250 0.000

Top 10 peaks for 2θ = 10–90°, in order of rising 2θ:
- hkl 1 0 2, 2θ = 30.05°, rel. 100
- hkl 1 1 0, 2θ = 31.98°, rel. 16
- hkl 1 1 1, 2θ = 33.53°, rel. 52
- hkl 1 0 3, 2θ = 37.58°, rel. 36
- hkl 1 1 2, 2θ = 37.84°, rel. 35
- hkl 2 0 0, 2θ = 45.85°, rel. 45
- hkl 1 1 4, 2θ = 52.10°, rel. 30
- hkl 2 1 2, 2θ = 55.80°, rel. 35
- hkl 2 1 3, 2θ = 60.73°, rel. 18
- hkl 2 0 5, 2θ = 70.68°, rel. 16